1.
Computed X-ray diffraction stick pattern
Compound: Cu3P6O32
Radiation: Cu Kα (λ = 1.5418 Å)
Structure: a GGA-PBE-relaxed structure
No peak broadening, texture or thermal motion is included.

Cell and atoms:
```
Cu3P6O32
1.0
6.3587 0.0000 0.0000
-2.6131 9.0172 0.0000
-0.5557 -3.0729 10.7025
Cu P O
3 6 32
direct
0.0000 0.0000 0.0000
0.1230 0.5743 0.2683
0.8770 0.4257 0.7317
0.2964 0.1398 0.8117
0.3742 0.4583 0.7827
0.4662 0.7782 0.9392
0.5338 0.2218 0.0608
0.6258 0.5417 0.2173
0.7036 0.8602 0.1883
0.0599 0.3654 0.3953
0.0772 0.8137 0.9686
0.0788 0.5768 0.1097
0.0894 0.0496 0.8526
0.1729 0.2771 0.3877
0.1861 0.4632 0.6962
0.1950 0.8876 0.3864
0.2487 0.8162 0.8903
0.2604 0.7701 0.4114
0.2899 0.3179 0.8422
0.3375 0.0165 0.4145
0.3413 0.0809 0.6833
0.3493 0.1500 0.1221
0.4093 0.5956 0.9120
0.4118 0.5326 0.2703
0.4891 0.8334 0.0867
0.5109 0.1666 0.9133
0.5882 0.4674 0.7297
0.5907 0.4044 0.0880
0.6507 0.8500 0.8779
0.6587 0.9191 0.3167
0.6625 0.9835 0.5855
0.7101 0.6821 0.1578
0.7396 0.2299 0.5886
0.7513 0.1838 0.1097
0.8050 0.1124 0.6136
0.8139 0.5368 0.3038
0.8271 0.7229 0.6123
0.9106 0.9504 0.1474
0.9212 0.4232 0.8903
0.9228 0.1863 0.0314
0.9401 0.6346 0.6047
```

Top 8 peaks for 2θ = 5–70°, sorted by position:
| d/Å | 2theta | I (rel.) |
| --- | --- | --- |
| 10.702 | 8.26 | 100.0 |
| 5.977 | 14.82 | 32.5 |
| 5.246 | 16.90 | 52.6 |
| 4.138 | 21.47 | 20.3 |
| 3.771 | 23.59 | 26.5 |
| 3.063 | 29.16 | 27.8 |
| 3.016 | 29.62 | 42.4 |
| 3.006 | 29.72 | 22.1 |


2.
Computed X-ray diffraction stick pattern
Compound: AlPO4
Radiation: Cu Kα (λ = 1.5418 Å)
Structure: a GGA-PBE-relaxed structure
No peak broadening, texture or thermal motion is included.

Cell and atoms:
```
AlPO4
1.0
6.1998 0.0000 0.0000
-1.6131 7.4282 0.0000
-2.1754 -1.7678 8.2336
Al P O
6 6 24
direct
0.0157 0.2010 0.4779
0.2381 0.8116 0.0808
0.4683 0.3948 0.7101
0.5317 0.6052 0.2899
0.7619 0.1884 0.9192
0.9843 0.7990 0.5221
0.0091 0.5072 0.7599
0.1995 0.0963 0.8431
0.4780 0.1993 0.3696
0.5220 0.8007 0.6304
0.8005 0.9037 0.1569
0.9909 0.4928 0.2401
0.0536 0.3597 0.3452
0.0627 0.0300 0.6552
0.0657 0.1994 0.9307
0.1364 0.3803 0.6733
0.1713 0.5949 0.9268
0.2243 0.6212 0.2327
0.2613 0.9390 0.9167
0.2810 0.8045 0.5389
0.3443 0.0215 0.2494
0.3551 0.2314 0.5109
0.4386 0.2339 0.8504
0.4790 0.3667 0.2885
0.5210 0.6333 0.7115
0.5614 0.7661 0.1496
0.6449 0.7686 0.4891
0.6557 0.9785 0.7506
0.7190 0.1955 0.4611
0.7387 0.0610 0.0833
0.7757 0.3788 0.7673
0.8287 0.4051 0.0732
0.8636 0.6197 0.3267
0.9343 0.8006 0.0693
0.9373 0.9700 0.3448
0.9464 0.6403 0.6548
```

Top 8 peaks for 2θ = 5–70°, sorted by position:
| d/Å | 2theta | I (rel.) |
| --- | --- | --- |
| 3.297 | 27.05 | 94.4 |
| 3.061 | 29.18 | 100.0 |
| 3.023 | 29.55 | 47.6 |
| 3.005 | 29.73 | 26.2 |
| 2.971 | 30.08 | 22.2 |
| 2.901 | 30.83 | 25.8 |
| 2.638 | 33.98 | 20.8 |
| 2.000 | 45.34 | 23.7 |


3.
Computed X-ray diffraction stick pattern
Compound: Ge19P4I4
Radiation: Cu Kα (λ = 1.5418 Å)
Structure: a GGA-PBE-relaxed structure
No peak broadening, texture or thermal motion is included.

Cell and atoms:
```
Ge19P4I4
1.0
10.6890 0.0000 0.0000
0.0000 10.6890 0.0000
0.0000 0.0000 10.6890
Ge P I
38 8 8
direct
0.0000 0.2500 0.5000
0.0000 0.7500 0.5000
0.0017 0.1190 0.6939
0.0017 0.8810 0.3061
0.1190 0.3061 0.9983
0.1190 0.6939 0.0017
0.1858 0.1858 0.1858
0.1858 0.8142 0.8142
0.1939 0.3810 0.4983
0.1939 0.6190 0.5017
0.2500 0.5000 0.0000
0.3061 0.0017 0.8810
0.3061 0.9983 0.1190
0.3142 0.3142 0.6858
0.3142 0.6858 0.3142
0.3810 0.4983 0.1939
0.3810 0.5017 0.8061
0.4983 0.1939 0.3810
0.4983 0.8061 0.6190
0.5000 0.0000 0.2500
0.5000 0.0000 0.7500
0.5017 0.1939 0.6190
0.5017 0.8061 0.3810
0.6190 0.4983 0.8061
0.6190 0.5017 0.1939
0.6858 0.3142 0.3142
0.6858 0.6858 0.6858
0.6939 0.0017 0.1190
0.6939 0.9983 0.8810
0.7500 0.5000 0.0000
0.8061 0.3810 0.5017
0.8061 0.6190 0.4983
0.8142 0.1858 0.8142
0.8142 0.8142 0.1858
0.8810 0.3061 0.0017
0.8810 0.6939 0.9983
0.9983 0.1190 0.3061
0.9983 0.8810 0.6939
0.1842 0.1842 0.8158
0.1842 0.8158 0.1842
0.3158 0.3158 0.3158
0.3158 0.6842 0.6842
0.6842 0.3158 0.6842
0.6842 0.6842 0.3158
0.8158 0.1842 0.1842
0.8158 0.8158 0.8158
0.0000 0.0000 0.0000
0.0000 0.5000 0.2500
0.0000 0.5000 0.7500
0.2500 0.0000 0.5000
0.5000 0.2500 0.0000
0.5000 0.5000 0.5000
0.5000 0.7500 0.0000
0.7500 0.0000 0.5000
```

Top 8 peaks for 2θ = 5–70°, sorted by position:
| d/Å | 2theta | I (rel.) |
| --- | --- | --- |
| 3.086 | 28.94 | 29.7 |
| 2.965 | 30.15 | 46.6 |
| 2.857 | 31.31 | 100.0 |
| 2.672 | 33.54 | 19.0 |
| 2.592 | 34.60 | 16.8 |
| 1.833 | 49.74 | 33.0 |
| 1.782 | 51.28 | 21.2 |
| 1.734 | 52.79 | 44.3 |


4.
Computed X-ray diffraction stick pattern
Compound: K2NaTlO3
Radiation: Cu Kα (λ = 1.5418 Å)
Structure: a GGA-PBE-relaxed structure
No peak broadening, texture or thermal motion is included.

Cell and atoms:
```
K2NaTlO3
1.0
6.5214 0.0000 0.0000
0.0000 7.0262 0.0000
-1.1077 0.0000 12.0667
K Na Tl O
8 4 4 12
direct
0.0695 0.1403 0.1419
0.0695 0.3597 0.6419
0.4215 0.6663 0.8526
0.4215 0.8337 0.3526
0.5785 0.1663 0.6474
0.5785 0.3337 0.1474
0.9305 0.6403 0.3581
0.9305 0.8597 0.8581
0.3591 0.1251 0.9134
0.3591 0.3749 0.4134
0.6409 0.6251 0.5866
0.6409 0.8749 0.0866
0.1475 0.6260 0.0906
0.1475 0.8740 0.5906
0.8525 0.1260 0.4094
0.8525 0.3740 0.9094
0.1940 0.0997 0.4579
0.1940 0.4003 0.9579
0.2451 0.0066 0.7447
0.2451 0.4934 0.2447
0.2840 0.6183 0.5354
0.2840 0.8817 0.0354
0.7160 0.1183 0.9646
0.7160 0.3817 0.4646
0.7549 0.5066 0.7553
0.7549 0.9934 0.2553
0.8060 0.5997 0.0421
0.8060 0.9003 0.5421
```

Top 8 peaks for 2θ = 5–70°, sorted by position:
| d/Å | 2theta | I (rel.) |
| --- | --- | --- |
| 6.494 | 13.64 | 48.4 |
| 6.061 | 14.61 | 100.0 |
| 4.637 | 19.14 | 58.2 |
| 4.541 | 19.55 | 57.0 |
| 2.963 | 30.17 | 94.7 |
| 2.756 | 32.49 | 47.3 |
| 2.646 | 33.88 | 46.5 |
| 2.504 | 35.87 | 49.3 |


5.
Computed X-ray diffraction stick pattern
Compound: CaSn2O4
Radiation: Cu Kα (λ = 1.5418 Å)
Structure: a GGA-PBE-relaxed structure
No peak broadening, texture or thermal motion is included.

Cell and atoms:
```
CaSn2O4
1.0
5.9357 -3.1900 0.0000
5.9357 3.1900 0.0000
-1.4992 0.0000 17.7213
Ca Sn O
6 12 24
direct
0.0000 0.0000 0.0000
0.1704 0.1704 0.8348
0.3370 0.3370 0.6682
0.5016 0.5016 0.1276
0.5052 0.5052 0.5020
0.6744 0.6744 0.3367
0.0016 0.4991 0.0015
0.1695 0.1695 0.4566
0.1734 0.1734 0.2153
0.1754 0.6728 0.3339
0.3370 0.8372 0.6684
0.4991 0.0016 0.0015
0.5045 0.5045 0.8787
0.6728 0.1754 0.3339
0.8341 0.8341 0.7918
0.8372 0.3370 0.6684
0.8377 0.8377 0.1592
0.8402 0.8402 0.5447
0.0239 0.5118 0.2683
0.0262 0.0262 0.7327
0.1358 0.6640 0.0749
0.1533 0.1533 0.6084
0.1838 0.1838 0.0601
0.1927 0.6808 0.5935
0.3139 0.3139 0.9375
0.3306 0.8156 0.4101
0.3449 0.8582 0.9260
0.3677 0.3677 0.3987
0.4818 0.9934 0.7432
0.4929 0.4929 0.2677
0.5118 0.0239 0.2683
0.5207 0.5207 0.7279
0.6488 0.6488 0.6042
0.6640 0.1358 0.0749
0.6798 0.6798 0.0668
0.6808 0.1927 0.5935
0.8140 0.8140 0.9422
0.8156 0.3306 0.4101
0.8582 0.3449 0.9260
0.8586 0.8586 0.3939
0.9915 0.9915 0.2734
0.9934 0.4818 0.7432
```

Top 8 peaks for 2θ = 5–70°, sorted by position:
| d/Å | 2theta | I (rel.) |
| --- | --- | --- |
| 3.699 | 24.06 | 83.5 |
| 2.933 | 30.48 | 64.2 |
| 2.878 | 31.07 | 63.1 |
| 2.807 | 31.88 | 100.0 |
| 2.790 | 32.08 | 75.4 |
| 1.903 | 47.80 | 70.9 |
| 1.706 | 53.72 | 58.9 |
| 1.677 | 54.73 | 59.4 |


6.
Computed X-ray diffraction stick pattern
Compound: KYMg14
Radiation: Cu Kα (λ = 1.5418 Å)
Structure: a GGA-PBE-relaxed structure
No peak broadening, texture or thermal motion is included.

Cell and atoms:
```
KYMg14
1.0
10.5955 0.0000 0.0000
0.0000 3.3188 5.7481
0.0000 -3.3188 5.7481
K Y Mg
1 1 14
direct
0.0000 0.0000 0.0000
0.0000 0.4969 0.4969
0.0000 0.5047 0.9990
0.0000 0.9990 0.5047
0.2515 0.6668 0.6668
0.2577 0.1714 0.1714
0.2619 0.1698 0.6569
0.2619 0.6569 0.1698
0.5000 0.9998 0.9998
0.5000 0.9996 0.4990
0.5000 0.4990 0.9996
0.5000 0.5004 0.5004
0.7381 0.1698 0.6569
0.7381 0.6569 0.1698
0.7423 0.1714 0.1714
0.7485 0.6668 0.6668
```

Top 8 peaks for 2θ = 5–70°, sorted by position:
| d/Å | 2theta | I (rel.) |
| --- | --- | --- |
| 2.874 | 31.12 | 26.0 |
| 2.649 | 33.84 | 24.9 |
| 2.526 | 35.54 | 100.0 |
| 1.948 | 46.63 | 15.9 |
| 1.659 | 55.37 | 17.4 |
| 1.505 | 61.64 | 17.9 |
| 1.406 | 66.49 | 18.9 |
| 1.387 | 67.54 | 13.8 |


7.
Computed X-ray diffraction stick pattern
Compound: NaZn2CdF7
Radiation: Cu Kα (λ = 1.5418 Å)
Structure: a GGA-PBE-relaxed structure
No peak broadening, texture or thermal motion is included.

Cell and atoms:
```
NaZn2CdF7
1.0
-3.6803 3.7347 5.2611
3.6803 -3.7347 5.2611
3.6803 3.7347 -5.2611
Na Zn Cd F
2 4 2 14
direct
0.5000 0.0000 0.0000
0.5000 0.5000 0.5000
0.0000 0.0000 0.0000
0.0000 0.0000 0.5000
0.0000 0.5000 0.0000
0.5000 0.0000 0.5000
0.0000 0.5000 0.5000
0.5000 0.5000 0.0000
0.0781 0.3376 0.1701
0.0781 0.9080 0.7406
0.0868 0.3368 0.7500
0.3278 0.0778 0.2500
0.3326 0.0920 0.6701
0.3326 0.6624 0.2406
0.3666 0.6166 0.7500
0.6334 0.3834 0.2500
0.6674 0.3376 0.7594
0.6674 0.9080 0.3299
0.6722 0.9222 0.7500
0.9132 0.6632 0.2500
0.9219 0.0920 0.2594
0.9219 0.6624 0.8299
```

Top 8 peaks for 2θ = 5–70°, sorted by position:
| d/Å | 2theta | I (rel.) |
| --- | --- | --- |
| 6.091 | 14.54 | 21.7 |
| 5.261 | 16.85 | 22.5 |
| 3.045 | 29.33 | 99.6 |
| 3.016 | 29.62 | 100.0 |
| 2.621 | 34.21 | 22.0 |
| 1.857 | 49.06 | 81.5 |
| 1.588 | 58.10 | 41.5 |
| 1.575 | 58.61 | 26.1 |


8.
Computed X-ray diffraction stick pattern
Compound: Nb2P
Radiation: Cu Kα (λ = 1.5418 Å)
Structure: a GGA-PBE-relaxed structure
No peak broadening, texture or thermal motion is included.

Cell and atoms:
```
Nb2P
1.0
18.6393 0.0000 0.0000
0.0000 3.9806 0.0000
0.0000 0.0000 13.2576
Nb P
36 18
direct
0.0000 0.0000 0.0000
0.0000 0.5000 0.0000
0.0077 0.0000 0.3492
0.0780 0.5000 0.1772
0.1186 0.0000 0.4927
0.1338 0.5000 0.9418
0.1604 0.0000 0.7302
0.1699 0.0000 0.2719
0.2500 0.0000 0.5474
0.2500 0.5000 0.1056
0.2500 0.5000 0.3905
0.2500 0.5000 0.8560
0.3301 0.0000 0.2719
0.3396 0.0000 0.7302
0.3662 0.5000 0.9418
0.3814 0.0000 0.4927
0.4220 0.5000 0.1772
0.4923 0.0000 0.3492
0.5000 0.0000 0.0000
0.5000 0.5000 0.0000
0.5077 0.0000 0.6508
0.5780 0.5000 0.8228
0.6186 0.0000 0.5073
0.6338 0.5000 0.0582
0.6604 0.0000 0.2698
0.6699 0.0000 0.7281
0.7500 0.0000 0.4526
0.7500 0.5000 0.1440
0.7500 0.5000 0.6095
0.7500 0.5000 0.8944
0.8301 0.0000 0.7281
0.8396 0.0000 0.2698
0.8662 0.5000 0.0582
0.8814 0.0000 0.5073
0.9220 0.5000 0.8228
0.9923 0.0000 0.6508
0.0410 0.0000 0.8207
0.0858 0.5000 0.6204
0.1053 0.5000 0.3645
0.1499 0.0000 0.0765
0.2500 0.5000 0.6661
0.3501 0.0000 0.0765
0.3947 0.5000 0.3645
0.4142 0.5000 0.6204
0.4590 0.0000 0.8207
0.5410 0.0000 0.1793
0.5858 0.5000 0.3796
0.6053 0.5000 0.6355
0.6499 0.0000 0.9235
0.7500 0.5000 0.3339
0.8501 0.0000 0.9235
0.8947 0.5000 0.6355
0.9142 0.5000 0.3796
0.9590 0.0000 0.1793
```

Top 8 peaks for 2θ = 5–70°, sorted by position:
| d/Å | 2theta | I (rel.) |
| --- | --- | --- |
| 3.812 | 23.33 | 86.2 |
| 2.670 | 33.57 | 47.9 |
| 2.548 | 35.22 | 74.6 |
| 2.541 | 35.32 | 55.5 |
| 2.457 | 36.57 | 44.3 |
| 2.449 | 36.70 | 78.1 |
| 2.297 | 39.22 | 57.8 |
| 1.990 | 45.59 | 100.0 |


Question: Number 4 is which compound?
Answer: K2NaTlO3